Starting from a structure optimized by DFT (GGA-PBE), the X-ray powder pattern of RbAcZn2F8 was computed for copper Kα.
Peak positions follow from Bragg's law for the DFT cell and can differ from measured ones.

Crystal structure
a = 8.818 Å, b = 8.818 Å, c = 8.818 Å
α = 36.56°, β = 36.56°, γ = 36.56°
Sites, in units of the cell vectors:
Rb 0.000 0.000 0.000
Ac 0.500 0.500 0.500
Zn 0.262 0.262 0.262
Zn 0.738 0.738 0.738
F 0.083 0.453 0.785
F 0.215 0.547 0.917
F 0.338 0.338 0.338
F 0.453 0.785 0.083
F 0.547 0.917 0.215
F 0.662 0.662 0.662
F 0.785 0.083 0.453
F 0.917 0.215 0.547

Main lines, low angle first (2θ from 5° to 70°):
Position (°2θ)	I_rel
18.87	24
23.52	100
25.93	17
32.36	49
34.60	36
39.26	20
40.39	23
52.68	22
55.72	20
57.73	16